Record 1
The following is a computed powder XRD pattern of AsRh. It was derived from a structure optimized by DFT (GGA-PBE), using Cu Kα (weighted mean of Kα1 and Kα2).
Neutral-atom scattering factors, no anomalous dispersion.

Structure:
```
data_AsRh
_space_group_name_H-M_alt 'C m c 21'
_space_group_IT_number 36
_cell_length_a 3.0110
_cell_length_b 8.3712
_cell_length_c 5.3252
_cell_angle_alpha 90.00
_cell_angle_beta 90.00
_cell_angle_gamma 90.00
loop_
_space_group_symop_operation_xyz
'x,y,z'
'-x,-y,z+1/2'
'-x,y,z'
'x,-y,z+1/2'
'x+1/2,y+1/2,z'
'-x+1/2,-y+1/2,z+1/2'
'-x+1/2,y+1/2,z'
'x+1/2,-y+1/2,z+1/2'
loop_
_atom_site_label
_atom_site_type_symbol
_atom_site_fract_x
_atom_site_fract_y
_atom_site_fract_z
As1 As 0.0000 0.1592 0.0000
Rh1 Rh 0.0000 0.4369 0.8419
```

Principal peaks in the range 10 to 90 degrees two-theta, low angle first:
(hkl)  d/Å  Rel. int.
0 2 1  3.291  58
0 0 2  2.663  36
1 1 1  2.501  100
0 2 2  2.247  35
1 3 0  2.047  42
0 4 1  1.948  57
1 1 2  1.940  77
1 3 1  1.910  55
0 2 3  1.634  32
1 5 3  1.129  26

---

Record 2
The following is a computed powder XRD pattern of AsRh. It was derived from a structure optimized by DFT (GGA-PBE), using Cu Kα (weighted mean of Kα1 and Kα2).
Neutral-atom scattering factors, no anomalous dispersion.

Structure:
```
data_AsRh
_space_group_name_H-M_alt 'P 21 21 21'
_space_group_IT_number 19
_cell_length_a 5.2203
_cell_length_b 7.2029
_cell_length_c 7.7339
_cell_angle_alpha 90.00
_cell_angle_beta 90.00
_cell_angle_gamma 90.00
loop_
_space_group_symop_operation_xyz
'x,y,z'
'-x+1/2,-y,z+1/2'
'x+1/2,-y+1/2,-z'
'-x,y+1/2,-z+1/2'
loop_
_atom_site_label
_atom_site_type_symbol
_atom_site_fract_x
_atom_site_fract_y
_atom_site_fract_z
As1 As 0.0102 0.1048 0.3608
As2 As 0.0219 0.1629 0.8730
Rh1 Rh 0.0657 0.3278 0.5944
Rh2 Rh 0.2177 0.9445 0.6072
```

Principal peaks in the range 10 to 90 degrees two-theta, low angle first:
(hkl)  d/Å  Rel. int.
1 0 1  4.327  31
1 1 0  4.227  55
0 2 1  3.265  37
1 0 2  3.107  52
1 2 1  2.768  52
1 0 3  2.311  24
0 2 3  2.098  60
2 1 2  2.072  100
0 3 2  2.040  65
0 0 4  1.933  43

---

Record 3
The following is a computed powder XRD pattern of As4Rh5. It was derived from a structure optimized by DFT (GGA-PBE), using Cu Kα (weighted mean of Kα1 and Kα2).
Neutral-atom scattering factors, no anomalous dispersion.

Structure:
```
data_As4Rh5
_space_group_name_H-M_alt 'P -1'
_space_group_IT_number 2
_cell_length_a 3.5666
_cell_length_b 6.8016
_cell_length_c 6.8025
_cell_angle_alpha 86.04
_cell_angle_beta 74.83
_cell_angle_gamma 74.81
loop_
_space_group_symop_operation_xyz
'x,y,z'
'-x,-y,-z'
loop_
_atom_site_label
_atom_site_type_symbol
_atom_site_fract_x
_atom_site_fract_y
_atom_site_fract_z
As1 As 0.0467 0.1861 0.2183
As2 As 0.2665 0.2817 0.6859
Rh1 Rh 0.0000 0.5000 0.0000
Rh2 Rh 0.2769 0.8465 0.0983
Rh3 Rh 0.3750 0.4021 0.3463
```

Principal peaks in the range 10 to 90 degrees two-theta, low angle first:
(hkl)  d/Å  Rel. int.
0 1 0  6.565  44
1 2 0  2.705  88
1 -1 2  2.337  100
1 -2 0  2.088  53
0 1 -3  2.076  49
1 -2 2  1.904  32
0 2 3  1.821  26
2 1 1  1.783  30
-1 1 3  1.552  22
2 4 2  1.353  24

---

Record 4
The following is a computed powder XRD pattern of Sm2As4RuRh3. It was derived from a structure optimized by DFT (GGA-PBE), using Cu Kα (weighted mean of Kα1 and Kα2).
Neutral-atom scattering factors, no anomalous dispersion.

Structure:
```
data_Sm2As4RuRh3
_space_group_name_H-M_alt 'P -4 m 2'
_space_group_IT_number 115
_cell_length_a 4.2617
_cell_length_b 4.2617
_cell_length_c 10.0334
_cell_angle_alpha 90.00
_cell_angle_beta 90.00
_cell_angle_gamma 90.00
loop_
_space_group_symop_operation_xyz
'x,y,z'
'y,-x,-z'
'-x,-y,z'
'-y,x,-z'
'-x,y,z'
'-y,-x,-z'
'x,-y,z'
'y,x,-z'
loop_
_atom_site_label
_atom_site_type_symbol
_atom_site_fract_x
_atom_site_fract_y
_atom_site_fract_z
Sm1 Sm 0.0000 0.5000 0.2453
As1 As 0.0000 0.0000 0.0000
As2 As 0.0000 0.5000 0.6328
As3 As 0.5000 0.5000 0.0000
Ru1 Ru 0.0000 0.0000 0.5000
Rh1 Rh 0.0000 0.5000 0.8752
Rh2 Rh 0.5000 0.5000 0.5000
```

Principal peaks in the range 10 to 90 degrees two-theta, low angle first:
(hkl)  d/Å  Rel. int.
1 1 0  3.013  15
1 0 3  2.631  67
1 1 2  2.583  100
2 0 0  2.131  66
1 1 4  1.928  17
1 0 5  1.815  25
2 1 3  1.656  33
2 2 0  1.507  22
2 1 5  1.382  20
3 1 2  1.302  23

---

Record 5
The following is a computed powder XRD pattern of AsRhS4. It was derived from a structure optimized by DFT (GGA-PBE), using Cu Kα (weighted mean of Kα1 and Kα2).
Neutral-atom scattering factors, no anomalous dispersion.

Structure:
```
data_AsRhS4
_space_group_name_H-M_alt 'C 1 2/m 1'
_space_group_IT_number 12
_cell_length_a 12.5564
_cell_length_b 3.4858
_cell_length_c 6.0168
_cell_angle_alpha 90.00
_cell_angle_beta 100.32
_cell_angle_gamma 90.00
loop_
_space_group_symop_operation_xyz
'x,y,z'
'-x,-y,-z'
'-x,y,-z'
'x,-y,z'
'x+1/2,y+1/2,z'
'-x+1/2,-y+1/2,-z'
'-x+1/2,y+1/2,-z'
'x+1/2,-y+1/2,z'
loop_
_atom_site_label
_atom_site_type_symbol
_atom_site_fract_x
_atom_site_fract_y
_atom_site_fract_z
As1 As 0.0000 0.0000 0.0000
Rh1 Rh 0.0000 0.5000 0.5000
S1 S 0.1020 0.0000 0.3713
S2 S 0.1095 0.5000 0.8647
```

Principal peaks in the range 10 to 90 degrees two-theta, low angle first:
(hkl)  d/Å  Rel. int.
2 0 0  6.177  100
1 1 -1  2.982  21
0 0 2  2.960  10
3 1 -1  2.539  43
2 0 2  2.500  20
5 1 -1  1.999  14
6 0 -2  1.853  7
5 1 1  1.828  13
0 2 0  1.743  7
1 1 -3  1.738  13

---

Record 6
The following is a computed powder XRD pattern of Sb2As2Rh3. It was derived from a structure optimized by DFT (GGA-PBE), using Cu Kα (weighted mean of Kα1 and Kα2).
Neutral-atom scattering factors, no anomalous dispersion.

Structure:
```
data_Sb2As2Rh3
_space_group_name_H-M_alt 'P 1 21/c 1'
_space_group_IT_number 14
_cell_length_a 6.6910
_cell_length_b 6.7641
_cell_length_c 6.6213
_cell_angle_alpha 90.00
_cell_angle_beta 113.52
_cell_angle_gamma 90.00
loop_
_space_group_symop_operation_xyz
'x,y,z'
'-x,-y,-z'
'-x,y+1/2,-z+1/2'
'x,-y+1/2,z+1/2'
loop_
_atom_site_label
_atom_site_type_symbol
_atom_site_fract_x
_atom_site_fract_y
_atom_site_fract_z
Sb1 Sb 0.1321 0.1561 0.3978
As1 As 0.3638 0.6587 0.6619
Rh1 Rh 0.0000 0.0000 0.0000
Rh2 Rh 0.3058 0.5193 0.2945
```

Principal peaks in the range 10 to 90 degrees two-theta, low angle first:
(hkl)  d/Å  Rel. int.
2 1 -1  2.983  36
1 2 -1  2.890  99
2 1 0  2.794  86
0 1 2  2.769  61
1 0 2  2.371  44
2 2 -2  2.149  69
3 1 -1  2.114  94
1 1 -3  2.093  75
1 3 1  1.918  100
2 0 2  1.824  30

---

Record 7
The following is a computed powder XRD pattern of ThSb2As2Rh7. It was derived from a structure optimized by DFT (GGA-PBE), using Cu Kα (weighted mean of Kα1 and Kα2).
Neutral-atom scattering factors, no anomalous dispersion.

Structure:
```
data_ThSb2As2Rh7
_space_group_name_H-M_alt 'C 1 2/m 1'
_space_group_IT_number 12
_cell_length_a 5.6142
_cell_length_b 5.6316
_cell_length_c 14.8019
_cell_angle_alpha 90.00
_cell_angle_beta 97.41
_cell_angle_gamma 90.00
loop_
_space_group_symop_operation_xyz
'x,y,z'
'-x,-y,-z'
'-x,y,-z'
'x,-y,z'
'x+1/2,y+1/2,z'
'-x+1/2,-y+1/2,-z'
'-x+1/2,y+1/2,-z'
'x+1/2,-y+1/2,z'
loop_
_atom_site_label
_atom_site_type_symbol
_atom_site_fract_x
_atom_site_fract_y
_atom_site_fract_z
Th1 Th 0.0000 0.0000 0.0000
Sb1 Sb 0.1489 0.0000 0.4159
As1 As 0.0848 0.5000 0.2461
Rh1 Rh 0.0000 0.5000 0.0000
Rh2 Rh 0.1180 0.5000 0.4142
Rh3 Rh 0.1973 0.2498 0.8502
```

Principal peaks in the range 10 to 90 degrees two-theta, low angle first:
(hkl)  d/Å  Rel. int.
0 0 2  7.339  69
0 0 5  2.936  66
0 2 2  2.629  48
2 0 -3  2.566  61
2 0 2  2.498  69
0 2 3  2.441  76
0 0 7  2.097  53
0 2 5  2.032  47
2 2 -1  1.986  100
2 2 -8  1.412  43

---

Record 8
The following is a computed powder XRD pattern of ScAs3Rh5. It was derived from a structure optimized by DFT (GGA-PBE), using Cu Kα (weighted mean of Kα1 and Kα2).
Neutral-atom scattering factors, no anomalous dispersion.

Structure:
```
data_ScAs3Rh5
_space_group_name_H-M_alt 'C m c m'
_space_group_IT_number 63
_space_group_name_Hall '-C 2c 2'
_cell_length_a 3.8175
_cell_length_b 13.0839
_cell_length_c 12.6220
_cell_angle_alpha 90.00
_cell_angle_beta 90.00
_cell_angle_gamma 90.00
loop_
_atom_site_label
_atom_site_type_symbol
_atom_site_fract_x
_atom_site_fract_y
_atom_site_fract_z
Sc1 Sc 0.0000 0.0786 0.2500
As1 As 0.0000 0.1340 0.7500
As2 As 0.0000 0.3806 0.5428
Rh1 Rh 0.0000 0.0000 0.0000
Rh2 Rh 0.0000 0.2020 0.5704
Rh3 Rh 0.0000 0.4515 0.1448
```

Principal peaks in the range 10 to 90 degrees two-theta, low angle first:
(hkl)  d/Å  Rel. int.
0 2 0  6.542  50
0 0 2  6.311  100
0 2 1  5.808  89
1 1 3  2.763  60
1 1 4  2.391  85
1 5 1  2.126  86
1 1 5  2.079  78
1 5 2  2.042  100
0 6 3  1.936  53
2 0 0  1.909  73